For Li2Co2SnO6, a crystal structure in Alexandria, relaxed with PBE+U gives the calculated PXRD pattern in this record (a wavelength of 1.5418 Å).
Peak positions follow from Bragg's law for the DFT cell and can differ from measured ones.

Principal peaks in the range 2θ from 5° to 70°, by angle:
h k l	two_theta	d [Å]	Rel. int.
0 0 2	17.38	5.102	100
0 2 0	33.15	2.702	15
3 1 1	35.80	2.508	37
0 2 2	37.67	2.388	24
3 1 3	43.97	2.059	38
0 2 4	49.12	1.855	13
3 1 5	57.52	1.602	20
3 3 1	60.95	1.520	18

Cell and atoms:
```
data_Li2Co2SnO6
_chemical_formula_sum 'Li8 Co8 Sn4 O24'
_symmetry_space_group_name_H-M 'C m c e'
_symmetry_Int_Tables_number 64
_symmetry_space_group_name_Hall '-C 2ac 2'
_cell_length_a 8.842
_cell_length_b 5.405
_cell_length_c 10.203
_cell_angle_alpha 90.00
_cell_angle_beta 90.00
_cell_angle_gamma 90.00
loop_
_atom_site_label
_atom_site_type_symbol
_atom_site_fract_x
_atom_site_fract_y
_atom_site_fract_z
Li1 Li 0.250 0.124 0.250
Co1 Co 0.163 0.000 0.000
Sn1 Sn 0.000 0.000 0.500
O1 O 0.000 0.151 0.905
O2 O 0.182 0.139 0.609
```

---

For Li2Co3SnO8, a crystal structure in Alexandria, relaxed with PBE+U gives the calculated PXRD pattern in this record (a wavelength of 1.5418 Å).
Peak positions follow from Bragg's law for the DFT cell and can differ from measured ones.

Principal peaks in the range 2θ from 5° to 70°, by angle:
h k l	two_theta	d [Å]	Rel. int.
1 1 1	20.05	4.428	100
0 2 2	25.84	3.448	33
0 2 3	33.45	2.679	44
1 3 2	36.39	2.469	59
2 2 -1	37.17	2.419	38
2 2 3	46.22	1.964	31
2 2 -5	61.19	1.515	33
4 0 0	64.54	1.444	27

Cell and atoms:
```
data_Li2Co3SnO8
_chemical_formula_sum 'Li8 Co12 Sn4 O32'
_symmetry_space_group_name_H-M 'C 1 c 1'
_symmetry_Int_Tables_number 9
_cell_length_a 5.779
_cell_length_b 9.999
_cell_length_c 9.517
_cell_angle_alpha 90.00
_cell_angle_beta 90.04
_cell_angle_gamma 90.00
loop_
_symmetry_equiv_pos_as_xyz
'x,y,z'
'x,-y,z+1/2'
'x+1/2,y+1/2,z'
'x+1/2,-y+1/2,z+1/2'
loop_
_atom_site_label
_atom_site_type_symbol
_atom_site_fract_x
_atom_site_fract_y
_atom_site_fract_z
Li1 Li 0.000 0.001 0.000
Li2 Li 0.494 0.169 0.601
Co1 Co 0.244 0.416 0.780
Co2 Co 0.251 0.084 0.281
Co3 Co 0.498 0.330 0.280
Sn1 Sn 0.004 0.334 0.503
O1 O 0.002 0.157 0.390
O2 O 0.223 0.259 0.664
O3 O 0.236 0.078 0.890
O4 O 0.264 0.422 0.393
O5 O 0.270 0.240 0.165
O6 O 0.495 0.015 0.166
O7 O 0.497 0.166 0.383
O8 O 0.499 0.500 0.188
```

---

For Li4Ti2Co3Sn3O16, a crystal structure in Alexandria, relaxed with PBE+U gives the calculated PXRD pattern in this record (a wavelength of 1.5418 Å).
Peak positions follow from Bragg's law for the DFT cell and can differ from measured ones.

Principal peaks in the range 2θ from 5° to 70°, by angle:
h k l	two_theta	d [Å]	Rel. int.
0 0 2	18.30	4.848	100
1 1 -1	19.02	4.667	32
1 1 1	19.26	4.608	36
2 0 1	19.58	4.533	27
2 2 -1	35.06	2.559	35
4 0 -1	35.37	2.537	63
4 0 -3	43.91	2.062	38
2 2 3	44.66	2.029	27

Cell and atoms:
```
data_Li4Ti2Co3Sn3O16
_chemical_formula_sum 'Li8 Ti4 Co6 Sn6 O32'
_symmetry_space_group_name_H-M 'C 1 m 1'
_symmetry_Int_Tables_number 8
_cell_length_a 10.437
_cell_length_b 6.127
_cell_length_c 9.702
_cell_angle_alpha 90.00
_cell_angle_beta 91.84
_cell_angle_gamma 90.00
loop_
_symmetry_equiv_pos_as_xyz
'x,y,z'
'x,-y,z'
'x+1/2,y+1/2,z'
'x+1/2,-y+1/2,z'
loop_
_atom_site_label
_atom_site_type_symbol
_atom_site_fract_x
_atom_site_fract_y
_atom_site_fract_z
Li1 Li 0.000 0.000 0.000
Li2 Li 0.007 0.000 0.489
Li3 Li 0.200 0.500 0.098
Li4 Li 0.351 0.000 0.587
Ti1 Ti 0.196 0.500 0.498
Ti2 Ti 0.379 0.000 0.005
Co1 Co 0.348 0.500 0.772
Co2 Co 0.438 0.242 0.276
Sn1 Sn 0.104 0.253 0.777
Sn2 Sn 0.189 0.000 0.274
O1 O 0.006 0.000 0.187
O2 O 0.009 0.500 0.138
O3 O 0.014 0.000 0.675
O4 O 0.030 0.500 0.650
O5 O 0.093 0.249 0.389
O6 O 0.182 0.000 0.902
O7 O 0.192 0.500 0.891
O8 O 0.251 0.275 0.634
O9 O 0.290 0.223 0.153
O10 O 0.338 0.500 0.399
O11 O 0.367 0.000 0.378
O12 O 0.437 0.241 0.899
```

---

For Li4Ti3Co3Sn2O16, a crystal structure in Alexandria, relaxed with PBE+U gives the calculated PXRD pattern in this record (a wavelength of 1.5418 Å).
Peak positions follow from Bragg's law for the DFT cell and can differ from measured ones.

Principal peaks in the range 2θ from 5° to 70°, by angle:
h k l	two_theta	d [Å]	Rel. int.
0 1 1	19.19	4.624	33
1 0 1	19.34	4.589	100
0 1 -1	19.41	4.574	38
1 1 -1	19.58	4.534	33
1 0 -2	24.95	3.569	34
1 1 3	32.32	2.770	41
1 1 -3	32.58	2.748	26
1 -1 2	35.03	2.562	38

Cell and atoms:
```
data_Li4Ti3Co3Sn2O16
_chemical_formula_sum 'Li4 Ti3 Co3 Sn2 O16'
_symmetry_space_group_name_H-M 'P 1'
_symmetry_Int_Tables_number 1
_cell_length_a 5.960
_cell_length_b 5.966
_cell_length_c 9.808
_cell_angle_alpha 89.19
_cell_angle_beta 89.70
_cell_angle_gamma 60.78
loop_
_symmetry_equiv_pos_as_xyz
'x,y,z'
loop_
_atom_site_label
_atom_site_type_symbol
_atom_site_fract_x
_atom_site_fract_y
_atom_site_fract_z
Li1 Li 0.000 0.000 0.000
Li2 Li 0.002 0.989 0.501
Li3 Li 0.330 0.326 0.597
Li4 Li 0.675 0.658 0.095
Ti1 Ti 0.182 0.156 0.274
Ti2 Ti 0.663 0.179 0.282
Ti3 Ti 0.820 0.340 0.777
Co1 Co 0.167 0.651 0.282
Co2 Co 0.337 0.834 0.783
Co3 Co 0.832 0.824 0.776
Sn1 Sn 0.330 0.337 0.001
Sn2 Sn 0.659 0.673 0.503
O1 O 0.038 0.461 0.151
O2 O 0.157 0.172 0.888
O3 O 0.173 0.683 0.894
O4 O 0.319 0.843 0.395
O5 O 0.346 0.298 0.389
O6 O 0.481 0.028 0.158
O7 O 0.500 0.461 0.153
O8 O 0.508 0.958 0.658
O9 O 0.526 0.500 0.655
O10 O 0.675 0.171 0.895
O11 O 0.686 0.655 0.887
O12 O 0.824 0.849 0.394
O13 O 0.833 0.327 0.391
O14 O 0.962 0.512 0.652
O15 O 0.988 0.004 0.688
O16 O 0.990 0.011 0.187
```

---

For Li4V3Co2Sn3O16, a crystal structure in Alexandria, relaxed with PBE+U gives the calculated PXRD pattern in this record (a wavelength of 1.5418 Å).
Peak positions follow from Bragg's law for the DFT cell and can differ from measured ones.

Principal peaks in the range 2θ from 5° to 70°, by angle:
h k l	two_theta	d [Å]	Rel. int.
0 0 2	18.00	4.929	100
0 1 1	18.87	4.702	35
1 0 -1	19.03	4.663	50
1 0 2	24.60	3.619	33
1 0 3	31.98	2.799	31
-1 1 2	34.33	2.612	29
0 2 1	34.74	2.582	37
2 0 -1	35.09	2.557	47

Cell and atoms:
```
data_Li4V3Co2Sn3O16
_chemical_formula_sum 'Li4 V3 Co2 Sn3 O16'
_symmetry_space_group_name_H-M 'P 1'
_symmetry_Int_Tables_number 1
_cell_length_a 6.089
_cell_length_b 6.148
_cell_length_c 9.857
_cell_angle_alpha 89.86
_cell_angle_beta 89.69
_cell_angle_gamma 60.47
loop_
_symmetry_equiv_pos_as_xyz
'x,y,z'
loop_
_atom_site_label
_atom_site_type_symbol
_atom_site_fract_x
_atom_site_fract_y
_atom_site_fract_z
Li1 Li 0.000 0.000 0.000
Li2 Li 0.034 0.978 0.509
Li3 Li 0.321 0.341 0.103
Li4 Li 0.614 0.684 0.608
V1 V 0.110 0.230 0.764
V2 V 0.177 0.676 0.801
V3 V 0.338 0.834 0.281
Co1 Co 0.333 0.329 0.502
Co2 Co 0.674 0.645 0.005
Sn1 Sn 0.641 0.156 0.785
Sn2 Sn 0.826 0.335 0.288
Sn3 Sn 0.835 0.824 0.289
O1 O 0.000 0.995 0.692
O2 O 0.007 0.994 0.183
O3 O 0.167 0.149 0.396
O4 O 0.181 0.680 0.394
O5 O 0.293 0.338 0.891
O6 O 0.322 0.796 0.905
O7 O 0.438 0.039 0.667
O8 O 0.449 0.486 0.667
O9 O 0.497 0.964 0.172
O10 O 0.509 0.519 0.167
O11 O 0.651 0.669 0.402
O12 O 0.692 0.143 0.409
O13 O 0.836 0.308 0.896
O14 O 0.842 0.827 0.899
O15 O 0.964 0.518 0.164
O16 O 0.991 0.497 0.665
```

---

For SrLiCoO4, a crystal structure in Alexandria, relaxed with PBE+U gives the calculated PXRD pattern in this record (a wavelength of 1.5418 Å).
Peak positions follow from Bragg's law for the DFT cell and can differ from measured ones.

Principal peaks in the range 2θ from 5° to 70°, by angle:
h k l	two_theta	d [Å]	Rel. int.
1 0 1	20.66	4.300	100
2 0 0	32.11	2.787	16
1 1 2	34.98	2.565	60
1 2 1	38.49	2.339	40
1 0 3	43.34	2.088	15
2 2 0	46.05	1.971	16
1 3 2	59.11	1.563	22
2 0 4	64.52	1.444	12

Cell and atoms:
```
data_SrLiCoO4
_chemical_formula_sum 'Sr2 Li2 Co2 O8'
_symmetry_space_group_name_H-M 'I -4'
_symmetry_Int_Tables_number 82
_cell_length_a 5.575
_cell_length_b 5.575
_cell_length_c 6.755
_cell_angle_alpha 90.00
_cell_angle_beta 90.00
_cell_angle_gamma 90.00
loop_
_symmetry_equiv_pos_as_xyz
'x,y,z'
'y,-x,-z'
'-x,-y,z'
'-y,x,-z'
'x+1/2,y+1/2,z+1/2'
'y+1/2,-x+1/2,-z+1/2'
'-x+1/2,-y+1/2,z+1/2'
'-y+1/2,x+1/2,-z+1/2'
loop_
_atom_site_label
_atom_site_type_symbol
_atom_site_fract_x
_atom_site_fract_y
_atom_site_fract_z
Sr1 Sr 0.000 0.000 0.000
Li1 Li 0.000 0.000 0.500
Co1 Co 0.000 0.500 0.250
O1 O 0.157 0.739 0.351
```

---

For Li4TiCo5O12, a crystal structure in Alexandria, relaxed with PBE+U gives the calculated PXRD pattern in this record (a wavelength of 1.5418 Å).
Peak positions follow from Bragg's law for the DFT cell and can differ from measured ones.

Principal peaks in the range 2θ from 5° to 70°, by angle:
h k l	two_theta	d [Å]	Rel. int.
0 0 2	18.06	4.912	100
1 3 -1	37.17	2.419	24
2 0 -2	38.70	2.327	21
2 0 2	44.38	2.041	24
1 3 3	48.25	1.886	17
2 0 4	57.72	1.597	15
0 6 0	65.99	1.416	15
3 3 1	69.04	1.360	12

Cell and atoms:
```
data_Li4TiCo5O12
_chemical_formula_sum 'Li8 Ti2 Co10 O24'
_symmetry_space_group_name_H-M 'C 1 2/m 1'
_symmetry_Int_Tables_number 12
_cell_length_a 4.902
_cell_length_b 8.499
_cell_length_c 9.956
_cell_angle_alpha 90.00
_cell_angle_beta 99.33
_cell_angle_gamma 90.00
loop_
_symmetry_equiv_pos_as_xyz
'x,y,z'
'-x,-y,-z'
'-x,y,-z'
'x,-y,z'
'x+1/2,y+1/2,z'
'-x+1/2,-y+1/2,-z'
'-x+1/2,y+1/2,-z'
'x+1/2,-y+1/2,z'
loop_
_atom_site_label
_atom_site_type_symbol
_atom_site_fract_x
_atom_site_fract_y
_atom_site_fract_z
Li1 Li 0.086 0.167 0.255
Ti1 Ti 0.000 0.500 0.000
Co1 Co 0.000 0.000 0.500
Co2 Co 0.000 0.167 0.000
Co3 Co 0.000 0.334 0.500
O1 O 0.122 0.000 0.892
O2 O 0.136 0.329 0.892
O3 O 0.195 0.168 0.601
O4 O 0.210 0.500 0.602
```

---

For Li4TiCo5O12, a crystal structure in Alexandria, relaxed with PBE+U gives the calculated PXRD pattern in this record (a wavelength of 1.5418 Å).
Peak positions follow from Bragg's law for the DFT cell and can differ from measured ones.

Principal peaks in the range 2θ from 5° to 70°, by angle:
h k l	two_theta	d [Å]	Rel. int.
0 0 4	17.87	4.965	100
-1 1 1	37.16	2.420	15
1 2 3	38.78	2.322	14
1 2 -5	44.12	2.053	15
2 1 6	44.57	2.033	8
2 1 -6	47.76	1.904	8
1 2 7	48.27	1.886	16
3 3 1	66.10	1.414	9

Cell and atoms:
```
data_Li4TiCo5O12
_chemical_formula_sum 'Li8 Ti2 Co10 O24'
_symmetry_space_group_name_H-M 'P -1'
_symmetry_Int_Tables_number 2
_cell_length_a 4.896
_cell_length_b 4.899
_cell_length_c 19.906
_cell_angle_alpha 88.12
_cell_angle_beta 86.08
_cell_angle_gamma 60.02
loop_
_symmetry_equiv_pos_as_xyz
'x,y,z'
'-x,-y,-z'
loop_
_atom_site_label
_atom_site_type_symbol
_atom_site_fract_x
_atom_site_fract_y
_atom_site_fract_z
Li1 Li 0.059 0.339 0.377
Li2 Li 0.102 0.341 0.123
Li3 Li 0.401 0.658 0.375
Li4 Li 0.441 0.660 0.125
Ti1 Ti 0.000 0.000 0.500
Ti2 Ti 0.500 0.000 0.000
Co1 Co 0.084 0.333 0.250
Co2 Co 0.166 0.669 0.000
Co3 Co 0.249 0.000 0.750
Co4 Co 0.335 0.331 0.500
Co5 Co 0.417 0.667 0.250
O1 O 0.022 0.654 0.447
O2 O 0.073 0.004 0.301
O3 O 0.101 0.660 0.199
O4 O 0.152 0.000 0.054
O5 O 0.176 0.345 0.947
O6 O 0.231 0.665 0.801
O7 O 0.259 0.340 0.699
O8 O 0.324 0.654 0.553
O9 O 0.349 0.999 0.446
O10 O 0.397 0.336 0.301
O11 O 0.425 0.003 0.199
O12 O 0.478 0.346 0.053
```

---

For Li4Ti3Co3W2O16, a crystal structure in Alexandria, relaxed with PBE+U gives the calculated PXRD pattern in this record (a wavelength of 1.5418 Å).
Peak positions follow from Bragg's law for the DFT cell and can differ from measured ones.

Principal peaks in the range 2θ from 5° to 70°, by angle:
h k l	two_theta	d [Å]	Rel. int.
0 1 1	19.05	4.660	36
1 0 -1	19.30	4.599	100
0 1 -1	19.37	4.581	36
1 1 -1	19.57	4.536	38
1 0 -2	24.95	3.569	22
1 -1 2	35.04	2.561	33
1 2 -2	35.36	2.538	23
0 2 -1	35.73	2.513	34

Cell and atoms:
```
data_Li4Ti3Co3W2O16
_chemical_formula_sum 'Li4 Ti3 Co3 W2 O16'
_symmetry_space_group_name_H-M 'P 1'
_symmetry_Int_Tables_number 1
_cell_length_a 5.963
_cell_length_b 6.011
_cell_length_c 9.829
_cell_angle_alpha 88.64
_cell_angle_beta 89.31
_cell_angle_gamma 60.59
loop_
_symmetry_equiv_pos_as_xyz
'x,y,z'
loop_
_atom_site_label
_atom_site_type_symbol
_atom_site_fract_x
_atom_site_fract_y
_atom_site_fract_z
Li1 Li 0.000 0.000 0.000
Li2 Li 0.004 0.992 0.512
Li3 Li 0.320 0.337 0.427
Li4 Li 0.653 0.676 0.919
Ti1 Ti 0.146 0.643 0.740
Ti2 Ti 0.335 0.793 0.229
Ti3 Ti 0.804 0.848 0.238
Co1 Co 0.177 0.163 0.726
Co2 Co 0.668 0.163 0.726
Co3 Co 0.837 0.337 0.226
W1 W 0.342 0.312 0.000
W2 W 0.666 0.654 0.508
O1 O 0.011 0.982 0.322
O2 O 0.018 0.972 0.814
O3 O 0.025 0.488 0.869
O4 O 0.172 0.660 0.121
O5 O 0.179 0.156 0.110
O6 O 0.333 0.357 0.627
O7 O 0.351 0.816 0.601
O8 O 0.458 0.494 0.877
O9 O 0.484 0.034 0.867
O10 O 0.503 0.525 0.357
O11 O 0.518 0.966 0.355
O12 O 0.654 0.692 0.127
O13 O 0.675 0.149 0.113
O14 O 0.848 0.320 0.600
O15 O 0.851 0.798 0.614
O16 O 0.949 0.538 0.360
```

---

For LiTm2Co2O6, a crystal structure in Alexandria, relaxed with PBE+U gives the calculated PXRD pattern in this record (a wavelength of 1.5418 Å).
Peak positions follow from Bragg's law for the DFT cell and can differ from measured ones.

Principal peaks in the range 2θ from 5° to 70°, by angle:
h k l	two_theta	d [Å]	Rel. int.
0 0 3	16.63	5.329	85
0 1 2	20.98	4.234	21
1 1 0	31.04	2.882	100
0 1 5	33.28	2.692	66
1 1 3	35.41	2.535	67
2 0 5	46.14	1.967	33
0 1 8	49.10	1.855	21
1 2 5	56.65	1.625	33

Cell and atoms:
```
data_LiTm2Co2O6
_chemical_formula_sum 'Li3 Tm6 Co6 O18'
_symmetry_space_group_name_H-M 'R -3 m'
_symmetry_Int_Tables_number 166
_symmetry_space_group_name_Hall '-R 3 2"'
_cell_length_a 5.7631
_cell_length_b 5.7631
_cell_length_c 15.9880
_cell_angle_alpha 90.00
_cell_angle_beta 90.00
_cell_angle_gamma 120.00
loop_
_atom_site_label
_atom_site_type_symbol
_atom_site_fract_x
_atom_site_fract_y
_atom_site_fract_z
Li1 Li 0.0000 0.0000 0.0000
Tm1 Tm 0.0000 0.0000 0.1825
Co1 Co 0.0000 0.0000 0.4123
O1 O 0.0240 0.5120 0.7600
```